No. 1
Theoretical X-ray powder pattern
Compound: Er2O3
Radiation: copper Kα
Structure: a DFT-relaxed cell (PBE, OQMD)
Intensities are scaled so that the largest is 1000.

```
Er2O3
1.0
-5.233 5.233 5.233
5.233 -5.233 5.233
5.233 5.233 -5.233
Er O
16 24
direct
0.000 0.000 0.000
0.000 0.500 0.500
0.033 0.783 0.250
0.217 0.750 0.967
0.250 0.033 0.783
0.250 0.533 0.283
0.283 0.250 0.533
0.467 0.717 0.750
0.500 0.000 0.500
0.500 0.500 0.000
0.533 0.283 0.250
0.717 0.750 0.467
0.750 0.467 0.717
0.750 0.967 0.217
0.783 0.250 0.033
0.967 0.217 0.750
0.012 0.468 0.739
0.032 0.044 0.271
0.044 0.271 0.032
0.228 0.456 0.488
0.229 0.272 0.761
0.239 0.771 0.728
0.261 0.988 0.532
0.271 0.032 0.044
0.272 0.761 0.229
0.456 0.488 0.228
0.468 0.739 0.012
0.488 0.228 0.456
0.512 0.772 0.544
0.532 0.261 0.988
0.544 0.512 0.772
0.728 0.239 0.771
0.729 0.968 0.956
0.739 0.012 0.468
0.761 0.229 0.272
0.771 0.728 0.239
0.772 0.544 0.512
0.956 0.729 0.968
0.968 0.956 0.729
0.988 0.532 0.261
```

The 10 most intense peaks (2θ = 10–90°), low angle first:
20.79 deg, 4.273 Å, I = 100; 29.57 deg, 3.021 Å, I = 1000; 34.27 deg, 2.616 Å, I = 355; 44.12 deg, 2.053 Å, I = 84; 49.25 deg, 1.850 Å, I = 375; 58.50 deg, 1.578 Å, I = 313; 59.95 deg, 1.543 Å, I = 60; 61.37 deg, 1.511 Å, I = 66; 79.91 deg, 1.201 Å, I = 86; 82.42 deg, 1.170 Å, I = 68

=====

No. 2
Theoretical X-ray powder pattern
Compound: Dy5Si10Ir4
Radiation: copper Kα
Structure: a DFT-relaxed cell (PBE, OQMD)
Intensities are scaled so that the largest is 1000.

```
Dy5Si10Ir4
1.0
12.650 0.000 0.000
0.000 12.650 0.000
0.000 0.000 4.266
Dy Si Ir
10 20 8
direct
0.000 0.000 0.000
0.115 0.385 0.500
0.175 0.675 0.500
0.325 0.175 0.500
0.385 0.885 0.500
0.500 0.500 0.000
0.615 0.115 0.500
0.675 0.825 0.500
0.825 0.325 0.500
0.885 0.615 0.500
0.001 0.843 0.500
0.066 0.566 0.000
0.157 0.001 0.500
0.164 0.201 0.000
0.201 0.836 0.000
0.299 0.336 0.000
0.336 0.701 0.000
0.343 0.501 0.500
0.434 0.066 0.000
0.499 0.343 0.500
0.501 0.657 0.500
0.566 0.934 0.000
0.657 0.499 0.500
0.664 0.299 0.000
0.701 0.664 0.000
0.799 0.164 0.000
0.836 0.799 0.000
0.843 0.999 0.500
0.934 0.434 0.000
0.999 0.157 0.500
0.020 0.755 0.000
0.245 0.020 0.000
0.255 0.520 0.000
0.480 0.255 0.000
0.520 0.745 0.000
0.745 0.480 0.000
0.755 0.980 0.000
0.980 0.245 0.000
```

The 10 most intense peaks (2θ = 10–90°), low angle first:
19.85 deg, 4.472 Å, I = 248; 22.22 deg, 4.000 Å, I = 225; 23.10 deg, 3.851 Å, I = 214; 28.92 deg, 3.087 Å, I = 358; 35.33 deg, 2.541 Å, I = 1000; 36.06 deg, 2.491 Å, I = 356; 36.78 deg, 2.444 Å, I = 290; 40.33 deg, 2.236 Å, I = 250; 42.37 deg, 2.133 Å, I = 336; 45.34 deg, 2.000 Å, I = 171